The following is a theoretical X-ray powder pattern of Ho6Tl2Ir. It was derived from a DFT-relaxed cell (GGA-PBE, Alexandria), using λ = 1.5418 Å (Cu Kα).

Main lines, low angle first (10 to 90 degrees two-theta):
Position (°2θ)	I (rel.)
21.48	21
21.71	21
35.52	100
36.18	18
42.07	8
50.50	7
51.65	13
63.86	15
64.63	12
75.14	8

a b c (Å): 8.6548 8.6548 8.6548
angles (deg): 146.10 130.63 61.24
Fractional coordinates of all 9 atoms:
Ho (0.0831, 0.3454, 0.7377)
Ho (0.2240, 0.0000, 0.2240)
Ho (0.3924, 0.6546, 0.7377)
Ho (0.6076, 0.3454, 0.2623)
Ho (0.7760, 0.0000, 0.7760)
Ho (0.9169, 0.6546, 0.2623)
Tl (0.3330, 0.8330, 0.5000)
Tl (0.6670, 0.1670, 0.5000)
Ir (0.0000, 0.5000, 0.5000)